Entry 1:
Structure and calculated XRD peak list of LaDyHo2Er (DFT lattice parameters and positions (GGA-PBE); Cu Kα).
Neutral-atom scattering factors, no anomalous dispersion.

Largest 6 diffraction maxima, by angle, 2θ = 10–90°:
- 2θ = 26.23°, d = 3.397 Å, intensity 26.3
- 2θ = 31.41°, d = 2.848 Å, intensity 100.0
- 2θ = 32.16°, d = 2.784 Å, intensity 40.2
- 2θ = 35.29°, d = 2.543 Å, intensity 25.8
- 2θ = 36.39°, d = 2.469 Å, intensity 21.1
- 2θ = 62.25°, d = 1.491 Å, intensity 20.4

Structural model:
```
data_LaDyHo2Er
_cell_length_a 3.5946
_cell_length_b 5.5671
_cell_length_c 8.5762
_cell_angle_alpha 90.00
_cell_angle_beta 90.00
_cell_angle_gamma 90.00
_symmetry_space_group_name_H-M 'P 1'
_symmetry_Int_Tables_number 1
_symmetry_space_group_name_Hall 'P 1'
loop_
_atom_site_label
_atom_site_type_symbol
_atom_site_fract_x
_atom_site_fract_y
_atom_site_fract_z
La1 La 0.0000 0.0000 0.0000
Dy1 Dy 0.5000 0.5000 0.0000
Ho1 Ho 0.0000 0.5000 0.3208
Ho2 Ho 0.0000 0.5000 0.6792
Er1 Er 0.5000 0.0000 0.5000
```



Entry 2:
Structure and calculated XRD peak list of DyHo2Er4Mg (DFT lattice parameters and positions (GGA-PBE); Cu Kα).
Neutral-atom scattering factors, no anomalous dispersion.

Largest 6 diffraction maxima, by angle, 2θ = 10–90°:
- 2θ = 31.08°, d = 2.877 Å, intensity 42.8
- 2θ = 31.74°, d = 2.820 Å, intensity 100.0
- 2θ = 31.86°, d = 2.808 Å, intensity 53.8
- 2θ = 34.57°, d = 2.594 Å, intensity 86.2
- 2θ = 40.55°, d = 2.225 Å, intensity 18.3
- 2θ = 54.82°, d = 1.675 Å, intensity 19.6

Structural model:
```
data_DyHo2Er4Mg
_cell_length_a 6.2927
_cell_length_b 6.2927
_cell_length_c 11.4291
_cell_angle_alpha 106.42
_cell_angle_beta 106.42
_cell_angle_gamma 33.67
_symmetry_space_group_name_H-M 'P 1'
_symmetry_Int_Tables_number 1
_symmetry_space_group_name_Hall 'P 1'
loop_
_atom_site_label
_atom_site_type_symbol
_atom_site_fract_x
_atom_site_fract_y
_atom_site_fract_z
Dy1 Dy 0.0000 0.0000 0.0000
Ho1 Ho 0.4762 0.4762 0.7269
Ho2 Ho 0.5238 0.5238 0.2731
Er1 Er 0.2368 0.2368 0.8674
Er2 Er 0.2814 0.2814 0.3904
Er3 Er 0.7186 0.7186 0.6096
Er4 Er 0.7632 0.7632 0.1326
Mg1 Mg 0.0000 0.0000 0.5000
```



Entry 3:
Structure and calculated XRD peak list of Dy2Ho2ErMg5 (DFT lattice parameters and positions (GGA-PBE); Cu Kα).
Neutral-atom scattering factors, no anomalous dispersion.

Largest 6 diffraction maxima, by angle, 2θ = 10–90°:
- 2θ = 17.58°, d = 5.044 Å, intensity 94.3
- 2θ = 26.80°, d = 3.326 Å, intensity 45.9
- 2θ = 29.85°, d = 2.993 Å, intensity 22.0
- 2θ = 32.24°, d = 2.777 Å, intensity 100.0
- 2θ = 35.57°, d = 2.524 Å, intensity 68.7
- 2θ = 45.11°, d = 2.010 Å, intensity 22.9

Structural model:
```
data_Dy2Ho2ErMg5
_cell_length_a 10.5184
_cell_length_b 10.5184
_cell_length_c 5.0443
_cell_angle_alpha 90.00
_cell_angle_beta 90.00
_cell_angle_gamma 90.00
_symmetry_space_group_name_H-M 'P 1'
_symmetry_Int_Tables_number 1
_symmetry_space_group_name_Hall 'P 1'
loop_
_atom_site_label
_atom_site_type_symbol
_atom_site_fract_x
_atom_site_fract_y
_atom_site_fract_z
Dy1 Dy 0.1774 0.3226 0.0000
Dy2 Dy 0.3226 0.8226 0.0000
Dy3 Dy 0.6774 0.1774 0.0000
Dy4 Dy 0.8226 0.6774 0.0000
Ho1 Ho 0.1194 0.6194 0.0000
Ho2 Ho 0.3806 0.1194 0.0000
Ho3 Ho 0.6194 0.8806 0.0000
Ho4 Ho 0.8806 0.3806 0.0000
Er1 Er 0.0000 0.0000 0.0000
Er2 Er 0.5000 0.5000 0.0000
Mg1 Mg 0.0000 0.5000 0.5000
Mg2 Mg 0.0737 0.8045 0.5000
Mg3 Mg 0.1955 0.0737 0.5000
Mg4 Mg 0.3045 0.5737 0.5000
Mg5 Mg 0.4263 0.3045 0.5000
Mg6 Mg 0.5000 0.0000 0.5000
Mg7 Mg 0.5737 0.6955 0.5000
Mg8 Mg 0.6955 0.4263 0.5000
Mg9 Mg 0.8045 0.9263 0.5000
Mg10 Mg 0.9263 0.1955 0.5000
```



Entry 4:
Structure and calculated XRD peak list of Dy4Ho2ErMg (DFT lattice parameters and positions (GGA-PBE); Cu Kα).
Neutral-atom scattering factors, no anomalous dispersion.

Largest 6 diffraction maxima, by angle, 2θ = 10–90°:
- 2θ = 31.32°, d = 2.856 Å, intensity 100.0
- 2θ = 36.33°, d = 2.473 Å, intensity 50.5
- 2θ = 52.32°, d = 1.749 Å, intensity 35.8
- 2θ = 62.23°, d = 1.492 Å, intensity 28.3
- 2θ = 62.31°, d = 1.490 Å, intensity 14.1
- 2θ = 85.59°, d = 1.135 Å, intensity 17.8

Structural model:
```
data_Dy4Ho2ErMg
_cell_length_a 4.9409
_cell_length_b 4.9512
_cell_length_c 9.8925
_cell_angle_alpha 90.00
_cell_angle_beta 90.00
_cell_angle_gamma 90.00
_symmetry_space_group_name_H-M 'P 1'
_symmetry_Int_Tables_number 1
_symmetry_space_group_name_Hall 'P 1'
loop_
_atom_site_label
_atom_site_type_symbol
_atom_site_fract_x
_atom_site_fract_y
_atom_site_fract_z
Dy1 Dy 0.0000 0.0000 0.2484
Dy2 Dy 0.0000 0.0000 0.7516
Dy3 Dy 0.5000 0.5000 0.2483
Dy4 Dy 0.5000 0.5000 0.7517
Ho1 Ho 0.0000 0.5000 0.0000
Ho2 Ho 0.5000 0.0000 0.5000
Er1 Er 0.0000 0.5000 0.5000
Mg1 Mg 0.5000 0.0000 0.0000
```